Structure and calculated powder X-ray diffraction pattern of Ba3MgMn3O9 (a GGA+U-relaxed structure; Cu Ka).

Structural model:
```
data_Ba3MgMn3O9
_chemical_formula_sum 'Ba6 Mg2 Mn6 O18'
_cell_length_a 10.8265
_cell_length_b 5.6474
_cell_length_c 7.8384
_cell_angle_alpha 90.00
_cell_angle_beta 106.98
_cell_angle_gamma 90.00
_space_group_name_H-M_alt 'C 1 m 1'
_space_group_IT_number 8
_space_group_name_Hall 'C -2y'
loop_
_atom_site_label
_atom_site_type_symbol
_atom_site_fract_x
_atom_site_fract_y
_atom_site_fract_z
_atom_site_occupancy
Ba1 Ba 0.0000 0.0000 0.0000 1
Ba2 Ba 0.0706 0.5000 0.4252 1
Ba3 Ba 0.2852 0.0000 0.7126 1
Mg1 Mg 0.2865 0.0000 0.2141 1
Mn1 Mn 0.1517 0.5000 0.8572 1
Mn2 Mn 0.2838 0.5000 0.2110 1
Mn3 Mn 0.4144 0.5000 0.5615 1
O1 O 0.0317 0.2458 0.7078 1
O2 O 0.0973 0.5000 0.0942 1
O3 O 0.2822 0.2576 0.3879 1
O4 O 0.2910 0.2558 0.0417 1
O5 O 0.2917 0.5000 0.7104 1
O6 O 0.4753 0.5000 0.3441 1
```

Most intense lines, 15° ≤ 2θ ≤ 90°, in order of rising 2θ:
d/Å	I (rel.)	index
3.892	100	1 1 1
3.214	81	1 1 -2
3.008	99	3 1 -1
2.945	82	3 1 0
2.824	81	0 2 0
2.686	63	2 0 2
2.369	58	1 1 -3
2.215	40	2 2 -2
2.137	38	4 0 -3
1.946	78	2 2 2

=====

Structure and calculated powder X-ray diffraction pattern of Li5Mn3P4O16 (a GGA+U-relaxed structure; Cu Ka).

Structural model:
```
data_Li5Mn3P4O16
_chemical_formula_sum 'Li5 Mn3 P4 O16'
_cell_length_a 4.7786
_cell_length_b 6.0096
_cell_length_c 10.5472
_cell_angle_alpha 90.00
_cell_angle_beta 90.87
_cell_angle_gamma 90.00
_space_group_name_H-M_alt 'P 1 m 1'
_space_group_IT_number 6
_space_group_name_Hall 'P -2y'
loop_
_atom_site_label
_atom_site_type_symbol
_atom_site_fract_x
_atom_site_fract_y
_atom_site_fract_z
_atom_site_occupancy
Li1 Li 0.0000 0.0000 0.0000 1
Li2 Li 0.4912 0.2423 0.7855 1
Li3 Li 0.9852 0.2425 0.2678 1
Mn1 Mn 0.4734 0.0000 0.4967 1
Mn2 Mn 0.4823 0.5000 0.0556 1
Mn3 Mn 0.9670 0.5000 0.5578 1
P1 P 0.0749 0.5000 0.8756 1
P2 P 0.3941 0.5000 0.3701 1
P3 P 0.5559 0.0000 0.1826 1
P4 P 0.9050 0.0000 0.6896 1
O1 O 0.1938 0.5000 0.7397 1
O2 O 0.2169 0.2989 0.9490 1
O3 O 0.2262 0.0000 0.6825 1
O4 O 0.2367 0.0000 0.1834 1
O5 O 0.2610 0.2957 0.4410 1
O6 O 0.2661 0.5000 0.2337 1
O7 O 0.6843 0.2104 0.1144 1
O8 O 0.6930 0.0000 0.3183 1
O9 O 0.7141 0.5000 0.3748 1
O10 O 0.7551 0.5000 0.8792 1
O11 O 0.7671 0.2039 0.6169 1
O12 O 0.7902 0.0000 0.8250 1
```

Most intense lines, 15° ≤ 2θ ≤ 90°, in order of rising 2θ:
d/Å	I (rel.)	index
4.377	71	1 0 -1
4.328	64	1 0 1
3.964	81	0 1 2
3.740	43	1 1 0
3.512	42	1 1 1
3.005	100	0 2 0
2.577	87	1 1 -3
2.546	86	1 1 3
1.687	45	0 1 6
1.517	42	0 2 6

=====

Structure and calculated powder X-ray diffraction pattern of Y2WO6 (a GGA+U-relaxed structure; Cu Ka).

Structural model:
```
data_Y2WO6
_chemical_formula_sum 'Y4 W2 O12'
_cell_length_a 5.3808
_cell_length_b 5.4359
_cell_length_c 8.2151
_cell_angle_alpha 90.00
_cell_angle_beta 90.00
_cell_angle_gamma 90.00
_space_group_name_H-M_alt 'P m m n'
_space_group_IT_number 59
loop_
_space_group_symop_operation_xyz
'x,y,z'
'-x,-y,-z'
'-x+1/2,-y+1/2,z'
'x+1/2,y+1/2,-z'
'x+1/2,-y,-z'
'-x+1/2,y,z'
'-x,y+1/2,-z'
'x,-y+1/2,z'
loop_
_atom_site_label
_atom_site_type_symbol
_atom_site_fract_x
_atom_site_fract_y
_atom_site_fract_z
_atom_site_occupancy
Y1 Y 0.2500 0.2500 0.0046 1
Y2 Y 0.2500 0.7500 0.3268 1
W1 W 0.2500 0.7500 0.7243 1
O1 O 0.0162 0.5053 0.8302 1
O2 O 0.0177 0.7500 0.5541 1
```

Most intense lines, 15° ≤ 2θ ≤ 90°, in order of rising 2θ:
d/Å	I (rel.)	index
4.533	22	0 1 1
4.501	17	1 0 1
3.824	39	1 1 0
3.467	50	1 1 1
2.799	100	1 1 2
2.718	26	0 2 0
1.919	20	2 0 3
1.912	26	2 2 0
1.584	18	1 3 2
1.573	26	3 1 2

=====

Structure and calculated powder X-ray diffraction pattern of VSeO4 (a GGA+U-relaxed structure; Cu Ka).

Structural model:
```
data_VSeO4
_chemical_formula_sum 'V4 Se4 O16'
_cell_length_a 3.9859
_cell_length_b 10.0117
_cell_length_c 8.1821
_cell_angle_alpha 90.00
_cell_angle_beta 98.87
_cell_angle_gamma 90.00
_space_group_name_H-M_alt 'P 1 21/c 1'
_space_group_IT_number 14
_space_group_name_Hall '-P 2ybc'
loop_
_atom_site_label
_atom_site_type_symbol
_atom_site_fract_x
_atom_site_fract_y
_atom_site_fract_z
_atom_site_occupancy
V1 V 0.0178 0.0034 0.3040 1
Se1 Se 0.1888 0.7094 0.5334 1
O1 O 0.0147 0.1283 0.5026 1
O2 O 0.1207 0.1176 0.8940 1
O3 O 0.1306 0.6643 0.3284 1
O4 O 0.4351 0.5065 0.8023 1
```

Most intense lines, 15° ≤ 2θ ≤ 90°, in order of rising 2θ:
d/Å	I (rel.)	index
3.938	82	1 0 0
3.665	63	1 1 0
3.145	100	0 2 2
3.085	48	0 3 1
2.615	29	1 2 -2
2.543	38	1 1 2
1.922	13	1 0 -4
1.833	21	2 2 0
1.607	16	0 5 3
1.538	13	1 5 -3

=====

Structure and calculated powder X-ray diffraction pattern of Li8Mn3Fe5B8O24 (a GGA+U-relaxed structure; Cu Ka).

Structural model:
```
data_Li8Mn3Fe5B8O24
_chemical_formula_sum 'Li8 Mn3 Fe5 B8 O24'
_cell_length_a 5.2347
_cell_length_b 6.0047
_cell_length_c 16.2378
_cell_angle_alpha 82.04
_cell_angle_beta 89.40
_cell_angle_gamma 89.43
_space_group_name_H-M_alt 'P 1'
_space_group_IT_number 1
_space_group_name_Hall 'P 1'
loop_
_atom_site_label
_atom_site_type_symbol
_atom_site_fract_x
_atom_site_fract_y
_atom_site_fract_z
_atom_site_occupancy
Li1 Li 0.0000 0.0000 0.0000 1
Li2 Li 0.9998 0.4992 0.4995 1
Li3 Li 0.3048 0.8612 0.2217 1
Li4 Li 0.3063 0.3614 0.7235 1
Li5 Li 0.5001 0.7398 0.7531 1
Li6 Li 0.5010 0.2446 0.2494 1
Li7 Li 0.8034 0.1153 0.4712 1
Li8 Li 0.8048 0.6142 0.9701 1
Mn1 Mn 0.4803 0.6569 0.5701 1
Mn2 Mn 0.8216 0.2045 0.6514 1
Mn3 Mn 0.8217 0.7027 0.1512 1
Fe1 Fe 0.3166 0.9602 0.3990 1
Fe2 Fe 0.3199 0.4554 0.9028 1
Fe3 Fe 0.4761 0.1535 0.0694 1
Fe4 Fe 0.9777 0.4022 0.3226 1
Fe5 Fe 0.9811 0.8993 0.8210 1
B1 B 0.3208 0.1475 0.5620 1
B2 B 0.3215 0.6460 0.0629 1
B3 B 0.4786 0.4683 0.4050 1
B4 B 0.4844 0.9688 0.9072 1
B5 B 0.8252 0.3924 0.8148 1
B6 B 0.8249 0.8933 0.3147 1
B7 B 0.9827 0.2148 0.1570 1
B8 B 0.9835 0.7139 0.6592 1
O1 O 0.0606 0.1702 0.5492 1
O2 O 0.0615 0.6702 0.0494 1
O3 O 0.2430 0.6913 0.6727 1
O4 O 0.2445 0.1904 0.1693 1
O5 O 0.3342 0.6023 0.4526 1
O6 O 0.3412 0.0995 0.9570 1
O7 O 0.3601 0.3509 0.3483 1
O8 O 0.3617 0.8562 0.8503 1
O9 O 0.4396 0.2611 0.6201 1
O10 O 0.4399 0.7577 0.1217 1
O11 O 0.4680 0.0142 0.5143 1
O12 O 0.4705 0.5146 0.0150 1
O13 O 0.5654 0.9178 0.3027 1
O14 O 0.5659 0.4164 0.8033 1
O15 O 0.7408 0.4448 0.4181 1
O16 O 0.7466 0.9451 0.9188 1
O17 O 0.8366 0.8459 0.7075 1
O18 O 0.8396 0.3455 0.2068 1
O19 O 0.8588 0.1065 0.0989 1
O20 O 0.8644 0.6017 0.6009 1
O21 O 0.9471 0.0088 0.3723 1
O22 O 0.9524 0.5109 0.8704 1
O23 O 0.9708 0.2563 0.7682 1
O24 O 0.9710 0.7603 0.2675 1
```

Most intense lines, 15° ≤ 2θ ≤ 90°, in order of rising 2θ:
d/Å	I (rel.)	index
4.368	77	1 0 -2
4.287	23	0 1 3
4.020	35	0 0 4
3.923	61	1 1 1
2.671	100	0 2 -2
2.620	59	1 1 5
2.594	23	-1 1 5
2.250	25	0 1 7
2.203	33	2 0 4
1.501	22	-3 1 5

=====

Structure and calculated powder X-ray diffraction pattern of VRhO4 (a GGA+U-relaxed structure; Cu Ka).

Structural model:
```
data_VRhO4
_chemical_formula_sum 'V4 Rh4 O16'
_cell_length_a 6.5721
_cell_length_b 6.5721
_cell_length_c 5.8980
_cell_angle_alpha 90.00
_cell_angle_beta 90.00
_cell_angle_gamma 90.00
_space_group_name_H-M_alt 'I 41 m d'
_space_group_IT_number 109
_space_group_name_Hall 'I 4bw -2'
loop_
_atom_site_label
_atom_site_type_symbol
_atom_site_fract_x
_atom_site_fract_y
_atom_site_fract_z
_atom_site_occupancy
V1 V 0.0000 0.0000 0.0000 1
Rh1 Rh 0.0000 0.0000 0.4877 1
O1 O 0.0000 0.3004 0.4713 1
O2 O 0.0000 0.3078 0.0080 1
```

Most intense lines, 15° ≤ 2θ ≤ 90°, in order of rising 2θ:
d/Å	I (rel.)	index
4.390	19	1 0 1
3.286	100	2 0 0
2.631	13	2 1 1
2.490	62	1 1 2
2.324	16	2 2 0
1.699	59	3 1 2
1.643	17	4 0 0
1.470	12	4 2 0
1.371	19	3 3 2
1.345	12	2 0 4